# CeZr2MoO8
Calculated XRD peak list, Cu Kα. Input: a cell relaxed with GGA+U.

Largest 6 diffraction maxima, in order of falling intensity, 10° ≤ 2θ ≤ 80°:
hkl, 2θ/deg, d [Å], I_rel
1 -1 0, 25.37, 3.510, 100
1 0 -2, 32.22, 2.778, 40
1 0 2, 32.49, 2.756, 38
0 2 0, 36.19, 2.482, 21
-2 1 2, 49.21, 1.852, 17
2 -1 2, 49.40, 1.845, 17

Cell and atoms:
```
data_CeZr2MoO8
_chemical_formula_sum 'Ce1 Zr2 Mo1 O8'
_cell_length_a 4.9632
_cell_length_b 4.9654
_cell_length_c 6.6665
_cell_angle_alpha 90.50
_cell_angle_beta 90.49
_cell_angle_gamma 90.05
_space_group_name_H-M_alt 'P -1'
_space_group_IT_number 2
loop_
_space_group_symop_operation_xyz
'x,y,z'
'-x,-y,-z'
loop_
_atom_site_label
_atom_site_type_symbol
_atom_site_fract_x
_atom_site_fract_y
_atom_site_fract_z
_atom_site_occupancy
Ce1 Ce 0.0000 0.0000 0.0000 1
Zr1 Zr 0.4980 0.4979 0.2557 1
Mo1 Mo 0.0000 0.0000 0.5000 1
O1 O 0.1968 0.1961 0.7272 1
O2 O 0.2010 0.1998 0.2651 1
O3 O 0.2983 0.7010 0.5000 1
O4 O 0.3162 0.6824 0.0000 1
```